Diffraction record for Li3Ti2V2O8. The powder X-ray diffraction pattern is calculated, not measured: it uses the GGA+U geometry in the Materials Project and Cu Kα.
Kinematic intensities with the Lorentz-polarization factor, no thermal factor.

Atomic structure:
```
Li3Ti2V2O8
1.0
5.193 -2.985 0.000
5.193 2.985 0.000
-3.498 0.000 4.913
Li Ti V O
3 2 2 8
direct
0.000 0.000 0.000
0.000 0.500 0.500
0.500 0.000 0.500
0.000 0.500 0.000
0.500 0.000 0.000
0.500 0.500 0.000
0.500 0.500 0.500
0.247 0.720 0.221
0.250 0.250 0.230
0.254 0.254 0.779
0.280 0.753 0.779
0.720 0.247 0.221
0.746 0.746 0.221
0.750 0.750 0.770
0.753 0.280 0.779
```

The 12 most intense peaks (2θ from 10° to 90°), sorted by position:
18.06°, intensity 973
18.18°, intensity 948
34.98°, intensity 267
35.17°, intensity 456
42.61°, intensity 1000
42.75°, intensity 492
56.48°, intensity 178
61.50°, intensity 132
61.95°, intensity 525
62.19°, intensity 134
77.79°, intensity 114
78.41°, intensity 117

Diffraction record for Li4V3Sn3Te2O16. The powder X-ray diffraction pattern is calculated, not measured: it uses the GGA+U geometry in the Materials Project and Cu Kα.
Kinematic intensities with the Lorentz-polarization factor, no thermal factor.

Atomic structure:
```
Li4V3Sn3Te2O16
1.0
6.259 0.000 0.000
3.105 5.480 0.000
0.056 0.047 10.132
Li V Sn Te O
4 3 3 2 16
direct
0.000 0.000 0.000
0.008 0.993 0.510
0.348 0.331 0.916
0.681 0.661 0.412
0.679 0.164 0.224
0.848 0.332 0.724
0.849 0.819 0.727
0.177 0.165 0.225
0.180 0.660 0.227
0.351 0.821 0.725
0.368 0.306 0.509
0.689 0.658 0.990
0.014 0.983 0.819
0.015 0.994 0.329
0.035 0.480 0.342
0.175 0.675 0.614
0.188 0.144 0.607
0.313 0.849 0.110
0.343 0.331 0.116
0.497 0.033 0.348
0.507 0.472 0.338
0.532 0.518 0.859
0.533 0.954 0.856
0.677 0.678 0.621
0.693 0.139 0.608
0.854 0.853 0.117
0.857 0.294 0.111
0.974 0.529 0.856
```

The 12 most intense peaks (2θ from 10° to 90°), sorted by position:
17.51°, intensity 541
18.40°, intensity 710
18.51°, intensity 1000
18.61°, intensity 349
23.93°, intensity 543
31.09°, intensity 430
31.18°, intensity 284
33.41°, intensity 595
33.59°, intensity 384
33.79°, intensity 346
34.12°, intensity 618
42.59°, intensity 366

Diffraction record for KCo2Mo2O10. The powder X-ray diffraction pattern is calculated, not measured: it uses the GGA+U geometry in the Materials Project and Cu Kα.
Kinematic intensities with the Lorentz-polarization factor, no thermal factor.

Atomic structure:
```
KCo2Mo2O10
1.0
5.819 0.000 0.000
-2.818 5.156 0.000
-2.583 -1.848 7.931
K Co Mo O
1 2 2 10
direct
0.000 0.000 0.000
0.000 0.000 0.500
0.500 0.500 0.500
0.182 0.563 0.741
0.818 0.437 0.259
0.020 0.208 0.714
0.051 0.332 0.396
0.269 0.696 0.951
0.397 0.205 0.574
0.488 0.317 0.292
0.512 0.683 0.708
0.603 0.795 0.426
0.731 0.304 0.049
0.949 0.668 0.604
0.980 0.792 0.286
```

The 12 most intense peaks (2θ from 10° to 90°), sorted by position:
11.16°, intensity 1000
17.66°, intensity 496
17.89°, intensity 478
18.67°, intensity 549
22.63°, intensity 825
25.22°, intensity 794
26.40°, intensity 570
30.46°, intensity 303
30.77°, intensity 321
32.12°, intensity 292
35.79°, intensity 450
50.44°, intensity 282